# 1
For Nd3GaSi2Ni9, a structure optimized by DFT (GGA-PBE) gives the calculated powder diffractogram in this record (Cu Kα (weighted mean of Kα1 and Kα2)).
Neutral-atom scattering factors, no anomalous dispersion.

Atomic structure:
Cell lengths 5.9001, 5.9001, 8.5175 Å; angles 90.00, 90.00, 120.00 degrees
Atoms (fractional coordinates):
Nd: 0.0000 0.0000 0.0000
Nd: 0.3333 0.6667 0.6627
Nd: 0.6667 0.3333 0.3373
Ga: 0.0000 0.0000 0.5000
Si: 0.3333 0.6667 0.1778
Si: 0.6667 0.3333 0.8222
Ni: 0.0000 0.5000 0.0000
Ni: 0.1395 0.2790 0.2807
Ni: 0.1395 0.8605 0.2807
Ni: 0.2790 0.1395 0.7193
Ni: 0.5000 0.0000 0.0000
Ni: 0.5000 0.5000 0.0000
Ni: 0.7210 0.8605 0.2807
Ni: 0.8605 0.1395 0.7193
Ni: 0.8605 0.7210 0.7193

Peak list (8 most intense, 10° ≤ 2θ ≤ 90°, by intensity)
- 2θ = 41.21°, I = 100.0
- 2θ = 36.73°, I = 85.2
- 2θ = 27.26°, I = 35.3
- 2θ = 30.30°, I = 32.9
- 2θ = 31.51°, I = 31.3
- 2θ = 63.02°, I = 25.2
- 2θ = 56.24°, I = 24.8
- 2θ = 51.99°, I = 24.1

---

# 2
For Nd2Ga4NiSn2, a structure optimized by DFT (GGA-PBE) gives the calculated powder diffractogram in this record (Cu Kα (weighted mean of Kα1 and Kα2)).
Neutral-atom scattering factors, no anomalous dispersion.

Atomic structure:
Cell lengths 6.4749, 6.4749, 6.4749 Å; angles 119.40, 119.40, 91.04 degrees
Atoms (fractional coordinates):
Nd: 0.2500 0.7500 0.5000
Nd: 0.7500 0.2500 0.5000
Ga: 0.2320 0.2320 0.4639
Ga: 0.2320 0.7680 0.0000
Ga: 0.7680 0.2320 0.0000
Ga: 0.7680 0.7680 0.5361
Ni: 0.5000 0.5000 0.0000
Sn: 0.2181 0.2181 0.0000
Sn: 0.7819 0.7819 0.0000

Peak list (8 most intense, 10° ≤ 2θ ≤ 90°, by intensity)
- 2θ = 33.81°, I = 100.0
- 2θ = 38.99°, I = 48.3
- 2θ = 56.89°, I = 26.6
- 2θ = 67.34°, I = 25.2
- 2θ = 39.74°, I = 19.9
- 2θ = 56.33°, I = 15.9
- 2θ = 27.30°, I = 15.5
- 2θ = 71.13°, I = 13.1

---

# 3
For Nd4Ga2O9, a structure optimized by DFT (GGA-PBE) gives the calculated powder diffractogram in this record (Cu Kα (weighted mean of Kα1 and Kα2)).
Neutral-atom scattering factors, no anomalous dispersion.

Atomic structure:
Cell lengths 7.8223, 11.0797, 11.6472 Å; angles 90.00, 108.99, 90.00 degrees
Atoms (fractional coordinates):
Nd: 0.0210 0.1057 0.2819
Nd: 0.0210 0.3943 0.7819
Nd: 0.1652 0.6226 0.5696
Nd: 0.1652 0.8774 0.0696
Nd: 0.3348 0.1211 0.9112
Nd: 0.3348 0.3789 0.4112
Nd: 0.4773 0.5907 0.1951
Nd: 0.4773 0.9093 0.6951
Nd: 0.5227 0.0907 0.3049
Nd: 0.5227 0.4093 0.8049
Nd: 0.6652 0.6211 0.5888
Nd: 0.6652 0.8789 0.0888
Nd: 0.8348 0.1226 0.9304
Nd: 0.8348 0.3774 0.4304
Nd: 0.9790 0.6057 0.2181
Nd: 0.9790 0.8943 0.7181
Ga: 0.1550 0.1826 0.6141
Ga: 0.1550 0.3174 0.1141
Ga: 0.2844 0.6853 0.8736
Ga: 0.2844 0.8147 0.3736
Ga: 0.7156 0.1853 0.6264
Ga: 0.7156 0.3147 0.1264
Ga: 0.8450 0.6826 0.8859
Ga: 0.8450 0.8174 0.3859
O: 0.0677 0.0105 0.8972
O: 0.0677 0.4895 0.3972
O: 0.0687 0.7494 0.8880
O: 0.0687 0.7506 0.3880
O: 0.1388 0.2278 0.4594
O: 0.1388 0.2722 0.9594
O: 0.2035 0.0280 0.6770
O: 0.2035 0.4720 0.1770
O: 0.2664 0.7284 0.2319
O: 0.2664 0.7716 0.7319
O: 0.2809 0.5252 0.8326
O: 0.2809 0.9748 0.3326
O: 0.2849 0.2262 0.2483
O: 0.2849 0.2738 0.7483
O: 0.4226 0.0050 0.1045
O: 0.4226 0.4950 0.6045
O: 0.4287 0.7328 0.0249
O: 0.4287 0.7672 0.5249
O: 0.5713 0.2328 0.4751
O: 0.5713 0.2672 0.9751
O: 0.5774 0.5050 0.3955
O: 0.5774 0.9950 0.8955
O: 0.7151 0.7262 0.2517
O: 0.7151 0.7738 0.7517
O: 0.7191 0.0252 0.6674
O: 0.7191 0.4748 0.1674
O: 0.7336 0.2284 0.2681
O: 0.7336 0.2716 0.7681
O: 0.7965 0.5280 0.8230
O: 0.7965 0.9720 0.3230
O: 0.8612 0.7278 0.0406
O: 0.8612 0.7722 0.5406
O: 0.9313 0.2494 0.6120
O: 0.9313 0.2506 0.1120
O: 0.9323 0.5105 0.6028
O: 0.9323 0.9895 0.1028

Peak list (8 most intense, 10° ≤ 2θ ≤ 90°, by intensity)
- 2θ = 27.93°, I = 100.0
- 2θ = 29.16°, I = 91.3
- 2θ = 33.31°, I = 22.8
- 2θ = 46.44°, I = 17.8
- 2θ = 33.67°, I = 16.4
- 2θ = 25.56°, I = 16.3
- 2θ = 55.57°, I = 15.8
- 2θ = 47.08°, I = 15.5

---

# 4
For Pr2Nd4Ga3O2, a structure optimized by DFT (GGA-PBE) gives the calculated powder diffractogram in this record (Cu Kα (weighted mean of Kα1 and Kα2)).
Neutral-atom scattering factors, no anomalous dispersion.

Atomic structure:
Cell lengths 12.5116, 12.5116, 12.5116 Å; angles 157.70, 157.70, 31.74 degrees
Atoms (fractional coordinates):
Pr: 0.2025 0.2025 0.0000
Pr: 0.7975 0.7975 0.0000
Nd: 0.0827 0.5827 0.5000
Nd: 0.4173 0.9173 0.5000
Nd: 0.5827 0.0827 0.5000
Nd: 0.9173 0.4173 0.5000
Ga: 0.3306 0.3306 0.0000
Ga: 0.5000 0.5000 0.0000
Ga: 0.6694 0.6694 0.0000
O: 0.1017 0.1017 0.0000
O: 0.8983 0.8983 0.0000

Peak list (8 most intense, 10° ≤ 2θ ≤ 90°, by intensity)
- 2θ = 34.45°, I = 100.0
- 2θ = 27.10°, I = 73.3
- 2θ = 37.17°, I = 72.7
- 2θ = 65.27°, I = 31.3
- 2θ = 30.05°, I = 27.5
- 2θ = 31.93°, I = 26.3
- 2θ = 53.57°, I = 25.0
- 2θ = 52.92°, I = 20.3